[1]
Diffraction record for Mn5Al2SiB2. The X-ray powder pattern is simulated, not measured: it uses a structure optimized by DFT (PBE) and λ = 1.5418 Å (Cu Kα).

Main lines, by angle (10° ≤ 2θ ≤ 90°):
2.799 Å, 31.98 deg, I = 395
2.435 Å, 36.91 deg, I = 261
2.279 Å, 39.54 deg, I = 384
2.130 Å, 42.45 deg, I = 780
2.079 Å, 43.54 deg, I = 326
1.971 Å, 46.04 deg, I = 1000
1.963 Å, 46.24 deg, I = 325
1.837 Å, 49.62 deg, I = 427

Structural model:
Cell: 8.781 8.781 2.799 Å, 90.00 90.00 90.00°
Fractional positions:
Mn  0.000  0.500  0.000
Mn  0.065  0.211  0.000
Mn  0.211  0.935  0.000
Mn  0.289  0.435  0.000
Mn  0.435  0.711  0.000
Mn  0.500  0.000  0.000
Mn  0.565  0.289  0.000
Mn  0.711  0.565  0.000
Mn  0.789  0.065  0.000
Mn  0.935  0.789  0.000
Al  0.178  0.678  0.500
Al  0.322  0.178  0.500
Al  0.678  0.822  0.500
Al  0.822  0.322  0.500
Si  0.000  0.000  0.500
Si  0.500  0.500  0.500
B  0.127  0.373  0.500
B  0.373  0.873  0.500
B  0.627  0.127  0.500
B  0.873  0.627  0.500

***

[2]
Diffraction record for Na2SrAl4B4O14. The X-ray powder pattern is simulated, not measured: it uses a structure optimized by DFT (PBE) and λ = 1.5418 Å (Cu Kα).

Main lines, by angle (10° ≤ 2θ ≤ 90°):
7.974 Å, 11.10 deg, I = 550
4.144 Å, 21.44 deg, I = 529
3.987 Å, 22.30 deg, I = 260
3.779 Å, 23.54 deg, I = 542
3.339 Å, 26.70 deg, I = 394
2.921 Å, 30.61 deg, I = 1000
2.477 Å, 36.26 deg, I = 429
2.246 Å, 40.16 deg, I = 283

Structural model:
Cell: 4.955 4.955 15.948 Å, 90.00 90.00 120.00°
Fractional positions:
Na  0.000  0.000  0.000
Na  0.000  0.000  0.227
Sr  0.000  0.000  0.693
Al  0.333  0.667  0.338
Al  0.333  0.667  0.551
Al  0.667  0.333  0.064
Al  0.667  0.333  0.847
B  0.333  0.667  0.094
B  0.333  0.667  0.806
B  0.667  0.333  0.299
B  0.667  0.333  0.598
O  0.033  0.414  0.804
O  0.041  0.401  0.092
O  0.333  0.667  0.447
O  0.360  0.959  0.092
O  0.381  0.967  0.804
O  0.421  0.389  0.296
O  0.430  0.403  0.603
O  0.586  0.619  0.804
O  0.597  0.027  0.603
O  0.599  0.640  0.092
O  0.611  0.031  0.296
O  0.667  0.333  0.954
O  0.969  0.579  0.296
O  0.973  0.570  0.603

***

[3]
Diffraction record for Nb3Al3B. The X-ray powder pattern is simulated, not measured: it uses a structure optimized by DFT (PBE) and λ = 1.5418 Å (Cu Kα).

Main lines, by angle (10° ≤ 2θ ≤ 90°):
6.931 Å, 12.77 deg, I = 305
3.001 Å, 29.77 deg, I = 223
2.754 Å, 32.51 deg, I = 329
2.450 Å, 36.67 deg, I = 607
2.310 Å, 38.99 deg, I = 1000
2.122 Å, 42.60 deg, I = 260
1.415 Å, 66.04 deg, I = 490
1.206 Å, 79.43 deg, I = 158

Structural model:
Cell: 8.488 8.488 8.488 Å, 60.00 60.00 60.00°
Fractional positions:
Nb  0.065  0.065  0.685
Nb  0.065  0.685  0.065
Nb  0.065  0.685  0.685
Nb  0.315  0.315  0.935
Nb  0.315  0.935  0.315
Nb  0.315  0.935  0.935
Nb  0.685  0.065  0.065
Nb  0.685  0.065  0.685
Nb  0.685  0.685  0.065
Nb  0.935  0.315  0.315
Nb  0.935  0.315  0.935
Nb  0.935  0.935  0.315
Al  0.000  0.500  0.500
Al  0.286  0.286  0.286
Al  0.286  0.286  0.641
Al  0.286  0.641  0.286
Al  0.359  0.714  0.714
Al  0.500  0.000  0.500
Al  0.500  0.500  0.000
Al  0.500  0.500  0.500
Al  0.641  0.286  0.286
Al  0.714  0.359  0.714
Al  0.714  0.714  0.359
Al  0.714  0.714  0.714
B  0.000  0.000  0.000
B  0.000  0.000  0.500
B  0.000  0.500  0.000
B  0.500  0.000  0.000

***

[4]
Diffraction record for Nd2AlB10. The X-ray powder pattern is simulated, not measured: it uses a structure optimized by DFT (PBE) and λ = 1.5418 Å (Cu Kα).

Main lines, by angle (10° ≤ 2θ ≤ 90°):
4.229 Å, 21.01 deg, I = 378
4.037 Å, 22.02 deg, I = 665
2.920 Å, 30.62 deg, I = 1000
2.845 Å, 31.44 deg, I = 217
2.371 Å, 37.94 deg, I = 271
2.361 Å, 38.12 deg, I = 379
2.019 Å, 44.90 deg, I = 165
1.873 Å, 48.61 deg, I = 276

Structural model:
Cell: 5.729 11.382 4.229 Å, 90.00 90.00 90.00°
Fractional positions:
Nd  0.197  0.137  0.000
Nd  0.303  0.637  0.000
Nd  0.697  0.363  0.000
Nd  0.803  0.863  0.000
Al  0.000  0.500  0.500
Al  0.500  0.000  0.500
B  0.045  0.308  0.500
B  0.122  0.958  0.500
B  0.150  0.804  0.500
B  0.212  0.383  0.199
B  0.212  0.383  0.801
B  0.288  0.883  0.199
B  0.288  0.883  0.801
B  0.350  0.304  0.500
B  0.378  0.458  0.500
B  0.455  0.808  0.500
B  0.545  0.192  0.500
B  0.622  0.542  0.500
B  0.650  0.696  0.500
B  0.712  0.117  0.199
B  0.712  0.117  0.801
B  0.788  0.617  0.199
B  0.788  0.617  0.801
B  0.850  0.196  0.500
B  0.878  0.042  0.500
B  0.955  0.692  0.500

***

[5]
Diffraction record for NdAl3B4O12. The X-ray powder pattern is simulated, not measured: it uses a structure optimized by DFT (PBE) and λ = 1.5418 Å (Cu Kα).

Main lines, by angle (10° ≤ 2θ ≤ 90°):
5.686 Å, 15.59 deg, I = 565
5.470 Å, 16.20 deg, I = 325
4.371 Å, 20.32 deg, I = 316
3.568 Å, 24.95 deg, I = 619
2.738 Å, 32.70 deg, I = 1000
2.367 Å, 38.01 deg, I = 235
2.304 Å, 39.11 deg, I = 265
1.684 Å, 54.48 deg, I = 172

Structural model:
Cell: 5.973 5.973 11.251 Å, 98.27 98.27 104.29°
Fractional positions:
Nd  0.037  0.963  0.750
Nd  0.963  0.037  0.250
Al  0.195  0.695  0.472
Al  0.305  0.805  0.028
Al  0.411  0.589  0.250
Al  0.589  0.411  0.750
Al  0.695  0.195  0.972
Al  0.805  0.305  0.528
B  0.121  0.493  0.778
B  0.223  0.280  0.006
B  0.280  0.223  0.506
B  0.493  0.121  0.278
B  0.507  0.879  0.722
B  0.720  0.777  0.494
B  0.777  0.720  0.994
B  0.879  0.507  0.222
O  0.003  0.807  0.062
O  0.104  0.577  0.295
O  0.131  0.369  0.497
O  0.179  0.696  0.863
O  0.193  0.997  0.438
O  0.270  0.355  0.758
O  0.302  0.507  0.074
O  0.304  0.821  0.637
O  0.355  0.270  0.258
O  0.369  0.131  0.997
O  0.423  0.896  0.205
O  0.493  0.698  0.426
O  0.507  0.302  0.574
O  0.577  0.104  0.795
O  0.631  0.869  0.003
O  0.645  0.730  0.742
O  0.696  0.179  0.363
O  0.698  0.493  0.926
O  0.730  0.645  0.242
O  0.807  0.003  0.562
O  0.821  0.304  0.137
O  0.869  0.631  0.503
O  0.896  0.423  0.705
O  0.997  0.193  0.938

***

[6]
Diffraction record for NdAlBOs2. The X-ray powder pattern is simulated, not measured: it uses a structure optimized by DFT (PBE) and λ = 1.5418 Å (Cu Kα).

Main lines, by angle (10° ≤ 2θ ≤ 90°):
5.443 Å, 16.29 deg, I = 235
3.457 Å, 25.77 deg, I = 395
3.069 Å, 29.10 deg, I = 433
2.741 Å, 32.67 deg, I = 1000
2.692 Å, 33.28 deg, I = 678
2.555 Å, 35.12 deg, I = 347
2.254 Å, 39.99 deg, I = 356
2.092 Å, 43.25 deg, I = 797

Structural model:
Cell: 5.831 5.831 7.431 Å, 90.00 90.00 137.95°
Fractional positions:
Nd  0.046  0.954  0.750
Nd  0.954  0.046  0.250
Al  0.234  0.766  0.250
Al  0.766  0.234  0.750
B  0.500  0.500  0.000
B  0.500  0.500  0.500
Os  0.321  0.679  0.563
Os  0.321  0.679  0.937
Os  0.679  0.321  0.063
Os  0.679  0.321  0.437